Structure and theoretical powder diffractogram of Zn2SiGeN4 (a PBE-relaxed structure; CuKα).
Intensities are scaled so that the largest is 100.

Crystal structure
a b c (Å): 5.396 5.153 6.406
angles (deg): 90.00 90.29 90.00
Fractional coordinates of all 16 atoms:
Zn1 0.079 0.000 0.372
Zn2 0.410 0.501 0.879
Zn3 0.590 0.001 0.121
Zn4 0.921 0.500 0.628
Si1 0.074 0.999 0.879
Si2 0.926 0.499 0.121
Ge1 0.425 0.503 0.370
Ge2 0.575 0.003 0.630
N1 0.057 0.341 0.904
N2 0.091 0.401 0.348
N3 0.385 0.899 0.860
N4 0.437 0.865 0.388
N5 0.563 0.365 0.612
N6 0.615 0.399 0.140
N7 0.909 0.901 0.652
N8 0.943 0.841 0.096

Main lines, low angle first (2θ from 10° to 80°):
index, Position (°2θ), I (rel.)
1 0 -2, 32.4, 39.8
1 0 2, 32.6, 40.0
2 0 0, 33.2, 44.8
0 2 0, 34.8, 100.0
1 1 -2, 36.9, 93.5
1 1 2, 37.1, 92.7
2 1 0, 37.6, 84.2
0 0 4, 57.5, 27.9
3 0 -2, 58.7, 26.0
1 3 -2, 63.9, 57.2